Theoretical X-ray diffraction stick pattern of La6PrIn for λ = 1.5418 Å (Cu Kα), from a DFT-relaxed cell (GGA-PBE, Alexandria).
No peak broadening, texture or thermal motion is included.

Cell and atoms:
a b c (Å): 7.2670 10.3070 14.5509
angles (deg): 90.00 90.00 90.00
Space group Fmmm (No. 69)
Symmetry-distinct sites (fractional):
La  0.0000  0.0000  0.2397 x8
La  0.2500  0.2500  0.1160 x16
Pr  0.0000  0.0000  0.5000 x4
In  0.0000  0.0000  0.0000 x4

Principal peaks in the range 2θ = 10–90°, in order of rising 2θ:
30.08°, I 100, hkl 2 2 0
34.87°, I 50, hkl 0 4 0
50.15°, I 35, hkl 4 0 0
59.56°, I 26, hkl 2 6 0
59.65°, I 14, hkl 4 2 4
62.53°, I 12, hkl 4 4 0
73.71°, I 3, hkl 4 0 8
81.52°, I 13, hkl 4 6 4
84.03°, I 5, hkl 2 8 4
84.20°, I 9, hkl 6 0 4

Theoretical X-ray diffraction stick pattern of La15Pr2In2 for λ = 1.5418 Å (Cu Kα), from a DFT-relaxed cell (GGA-PBE, Alexandria).
No peak broadening, texture or thermal motion is included.

Cell and atoms:
a b c (Å): 10.7822 10.7822 19.5063
angles (deg): 90.00 90.00 120.00
Space group R-3m (No. 166, hexagonal axes)
Symmetry-distinct sites (fractional):
La  0.0000  0.3109  0.0000 x18
La  0.0000  0.5000  0.5000 x9
La  0.0536  0.5268  0.1238 x18
Pr  0.0000  0.0000  0.0854 x6
In  0.0000  0.0000  0.2804 x6

Principal peaks in the range 2θ = 10–90°, in order of rising 2θ:
26.86°, I 33, hkl 1 2 2
28.68°, I 26, hkl 3 0 0
29.85°, I 80, hkl 2 0 5
31.88°, I 100, hkl 0 3 3
32.15°, I 47, hkl 1 1 6
33.24°, I 32, hkl 2 2 0
36.07°, I 48, hkl 2 2 3
50.79°, I 16, hkl 3 3 0
53.04°, I 24, hkl 4 1 6
57.28°, I 21, hkl 4 2 5

Theoretical X-ray diffraction stick pattern of La5Pr6In for λ = 1.5418 Å (Cu Kα), from a DFT-relaxed cell (GGA-PBE, Alexandria).
No peak broadening, texture or thermal motion is included.

Cell and atoms:
a b c (Å): 5.1683 10.3811 15.6720
angles (deg): 90.00 90.00 90.00
Space group Immm (No. 71)
Symmetry-distinct sites (fractional):
La  0.0000  0.0000  0.0000 x2
La  0.0000  0.0000  0.3348 x4
La  0.0000  0.5000  0.3355 x4
Pr  0.0000  0.2444  0.5000 x4
Pr  0.0000  0.2570  0.1621 x8
In  0.0000  0.5000  0.0000 x2

Principal peaks in the range 2θ = 10–90°, in order of rising 2θ:
29.79°, I 100, hkl 1 2 3
34.33°, I 17, hkl 0 0 6
34.56°, I 17, hkl 0 4 0
34.71°, I 17, hkl 2 0 0
49.51°, I 12, hkl 0 4 6
49.63°, I 12, hkl 2 0 6
58.71°, I 14, hkl 1 2 9
59.01°, I 14, hkl 1 6 3
59.21°, I 14, hkl 3 2 3
61.88°, I 12, hkl 2 4 6

Theoretical X-ray diffraction stick pattern of La3Pr4In for λ = 1.5418 Å (Cu Kα), from a DFT-relaxed cell (GGA-PBE, Alexandria).
No peak broadening, texture or thermal motion is included.

Cell and atoms:
a b c (Å): 7.1858 10.6130 7.1875
angles (deg): 90.00 90.00 90.00
Space group Pmna (No. 53)
Symmetry-distinct sites (fractional):
La  0.0000  0.0000  0.0000 x2
La  0.2500  0.2605  0.2500 x4
Pr  0.0000  0.0000  0.5000 x2
Pr  0.0000  0.5000  0.5000 x2
Pr  0.2500  0.2606  0.7500 x4
In  0.0000  0.5000  0.0000 x2

Principal peaks in the range 2θ = 10–90°, in order of rising 2θ:
30.03°, I 100, hkl 2 2 0
33.78°, I 18, hkl 0 4 0
35.32°, I 33, hkl 2 0 2
49.68°, I 24, hkl 2 4 2
50.82°, I 12, hkl 4 0 0
58.13°, I 14, hkl 2 6 0
60.17°, I 28, hkl 4 2 2
62.42°, I 12, hkl 4 4 0
80.80°, I 11, hkl 4 6 2
82.57°, I 6, hkl 6 2 0

Theoretical X-ray diffraction stick pattern of LaPr3In4 for λ = 1.5418 Å (Cu Kα), from a DFT-relaxed cell (GGA-PBE, Alexandria).
No peak broadening, texture or thermal motion is included.

Cell and atoms:
a b c (Å): 3.9164 5.5401 11.0835
angles (deg): 90.00 90.00 90.00
Space group Pmmm (No. 47)
Symmetry-distinct sites (fractional):
La  0.0000  0.0000  0.0000 x1
Pr  0.0000  0.0000  0.5000 x1
Pr  0.0000  0.5000  0.2499 x2
In  0.5000  0.0000  0.2527 x2
In  0.5000  0.5000  0.0000 x1
In  0.5000  0.5000  0.5000 x1

Principal peaks in the range 2θ = 10–90°, in order of rising 2θ:
22.70°, I 1, hkl 0 1 2
32.32°, I 100, hkl 1 1 2
46.35°, I 18, hkl 2 0 0
52.21°, I 1, hkl 0 1 6
57.64°, I 37, hkl 2 2 0
67.64°, I 11, hkl 2 2 4
76.97°, I 16, hkl 3 1 2
85.95°, I 4, hkl 2 4 0

Theoretical X-ray diffraction stick pattern of La5Pr8In for λ = 1.5418 Å (Cu Kα), from a DFT-relaxed cell (GGA-PBE, Alexandria).
No peak broadening, texture or thermal motion is included.

Cell and atoms:
a b c (Å): 15.8794 8.7348 8.7883
angles (deg): 90.00 123.08 90.00
Space group C2 (No. 5)
Symmetry-distinct sites (fractional):
La  0.0000  0.0000  0.0000 x2
La  0.0466  0.6552  0.8287 x4
La  0.1004  0.3212  0.2381 x4
Pr  0.1238  0.9505  0.5621 x4
Pr  0.1709  0.5485  0.6280 x4
Pr  0.1840  0.2525  0.9394 x4
Pr  0.1936  0.7274  0.3072 x4
In  0.0000  0.2791  0.5000 x2

Principal peaks in the range 2θ = 10–90°, in order of rising 2θ:
23.69°, I 15, hkl 0 2 1
28.82°, I 28, hkl 2 2 -2
30.42°, I 96, hkl 3 1 1
30.54°, I 100, hkl 5 1 -2
31.20°, I 44, hkl 2 0 -3
31.45°, I 29, hkl 1 3 0
31.95°, I 26, hkl 4 2 -2
32.39°, I 20, hkl 1 3 -1
55.37°, I 16, hkl 4 4 1
59.46°, I 12, hkl 10 0 -4

Theoretical X-ray diffraction stick pattern of La4Pr15In for λ = 1.5418 Å (Cu Kα), from a DFT-relaxed cell (GGA-PBE, Alexandria).
No peak broadening, texture or thermal motion is included.

Cell and atoms:
a b c (Å): 5.1886 5.1886 26.3400
angles (deg): 90.00 90.00 90.00
Space group P4/mmm (No. 123)
Symmetry-distinct sites (fractional):
La  0.0000  0.0000  0.1009 x2
La  0.0000  0.0000  0.3033 x2
Pr  0.0000  0.5000  0.0000 x2
Pr  0.0000  0.5000  0.2028 x4
Pr  0.0000  0.5000  0.4056 x4
Pr  0.5000  0.5000  0.1016 x2
Pr  0.5000  0.5000  0.3049 x2
Pr  0.5000  0.5000  0.5000 x1
In  0.0000  0.0000  0.5000 x1

Principal peaks in the range 2θ = 10–90°, in order of rising 2θ:
29.67°, I 100, hkl 1 1 5
34.04°, I 17, hkl 0 0 10
34.57°, I 34, hkl 2 0 0
49.30°, I 24, hkl 2 0 10
49.70°, I 12, hkl 2 2 0
58.25°, I 13, hkl 1 1 15
58.96°, I 28, hkl 3 1 5
61.61°, I 12, hkl 2 2 10
80.04°, I 11, hkl 3 1 15
80.65°, I 6, hkl 3 3 5

Theoretical X-ray diffraction stick pattern of La5Pr2In5 for λ = 1.5418 Å (Cu Kα), from a DFT-relaxed cell (GGA-PBE, Alexandria).
No peak broadening, texture or thermal motion is included.

Cell and atoms:
a b c (Å): 15.8213 4.5789 11.5258
angles (deg): 90.00 117.37 90.00
Space group C2/m (No. 12)
Symmetry-distinct sites (fractional):
La  0.0000  0.0000  0.0000 x2
La  0.0766  0.0000  0.7575 x4
La  0.2482  0.0000  0.2433 x4
Pr  0.1528  0.0000  0.4845 x4
In  0.0000  0.5000  0.5000 x2
In  0.0943  0.5000  0.2581 x4
In  0.1781  0.5000  0.0025 x4

Principal peaks in the range 2θ = 10–90°, in order of rising 2θ:
31.22°, I 100, hkl 3 1 -3
34.00°, I 19, hkl 6 0 -2
35.07°, I 18, hkl 0 0 4
39.36°, I 14, hkl 0 2 0
49.58°, I 7, hkl 6 0 -6
52.97°, I 11, hkl 6 2 -2
53.72°, I 11, hkl 0 2 4
59.12°, I 13, hkl 9 1 -5
60.47°, I 7, hkl 3 1 -7
66.32°, I 11, hkl 3 3 -3

Theoretical X-ray diffraction stick pattern of LaPr4In2 for λ = 1.5418 Å (Cu Kα), from a DFT-relaxed cell (GGA-PBE, Alexandria).
No peak broadening, texture or thermal motion is included.

Cell and atoms:
a b c (Å): 8.6594 6.7974 8.8241
angles (deg): 90.00 118.00 90.00
Space group P2_1/m (No. 11)
Symmetry-distinct sites (fractional):
La  0.2395  0.2500  0.3256 x2
Pr  0.0410  0.7500  0.5257 x2
Pr  0.0951  0.2500  0.8959 x2
Pr  0.4308  0.0046  0.7678 x4
In  0.2029  0.7500  0.9633 x2
In  0.3353  0.7500  0.3911 x2

Principal peaks in the range 2θ = 10–90°, in order of rising 2θ:
28.74°, I 75, hkl 1 2 0
30.25°, I 78, hkl 1 0 2
31.26°, I 100, hkl 2 0 -3
31.39°, I 70, hkl 3 0 -1
33.05°, I 42, hkl 1 1 2
33.29°, I 30, hkl 1 2 -2
33.52°, I 42, hkl 2 2 -1
34.12°, I 34, hkl 3 1 -1
35.04°, I 43, hkl 0 2 2
63.72°, I 43, hkl 2 4 -3

Theoretical X-ray diffraction stick pattern of La12Pr5In2 for λ = 1.5418 Å (Cu Kα), from a DFT-relaxed cell (GGA-PBE, Alexandria).
No peak broadening, texture or thermal motion is included.

Cell and atoms:
a b c (Å): 15.9373 9.4397 8.9394
angles (deg): 90.00 94.45 90.00
Space group C2/m (No. 12)
Symmetry-distinct sites (fractional):
La  0.0558  0.0000  0.3288 x4
La  0.0772  0.5000  0.8922 x4
La  0.1276  0.1972  0.6794 x8
La  0.1445  0.3134  0.2414 x8
Pr  0.0000  0.5000  0.5000 x2
Pr  0.1934  0.0000  0.0199 x4
Pr  0.2329  0.5000  0.5776 x4
In  0.0000  0.1708  0.0000 x4

Principal peaks in the range 2θ = 10–90°, in order of rising 2θ:
27.53°, I 44, hkl 0 2 2
29.17°, I 52, hkl 2 2 -2
29.39°, I 39, hkl 4 2 0
30.51°, I 35, hkl 1 3 -1
30.63°, I 93, hkl 5 1 -1
30.80°, I 43, hkl 1 3 1
31.31°, I 69, hkl 4 0 2
31.66°, I 100, hkl 1 1 -3
35.07°, I 65, hkl 3 3 1
57.29°, I 31, hkl 5 5 -1

Theoretical X-ray diffraction stick pattern of La4Pr2In for λ = 1.5418 Å (Cu Kα), from a DFT-relaxed cell (GGA-PBE, Alexandria).
No peak broadening, texture or thermal motion is included.

Cell and atoms:
a b c (Å): 8.5680 11.0358 10.6778
angles (deg): 90.00 90.00 90.00
Space group Cccm (No. 66)
Symmetry-distinct sites (fractional):
La  0.1900  0.9997  0.0000 x8
La  0.2500  0.2500  0.2502 x8
Pr  0.0008  0.3089  0.0000 x8
In  0.0000  0.5000  0.2500 x4

Principal peaks in the range 2θ = 10–90°, in order of rising 2θ:
13.08°, I 7, hkl 1 1 0
23.18°, I 6, hkl 0 2 2
31.30°, I 100, hkl 2 2 2
32.42°, I 24, hkl 0 4 0
33.57°, I 22, hkl 0 0 4
42.21°, I 8, hkl 4 0 0
47.36°, I 17, hkl 0 4 4
58.61°, I 17, hkl 2 2 6
62.25°, I 6, hkl 5 3 2
85.72°, I 6, hkl 4 0 8

Theoretical X-ray diffraction stick pattern of La4PrIn2 for λ = 1.5418 Å (Cu Kα), from a DFT-relaxed cell (GGA-PBE, Alexandria).
No peak broadening, texture or thermal motion is included.

Cell and atoms:
a b c (Å): 6.4254 9.7000 7.9525
angles (deg): 90.00 110.62 90.00
Space group P2_1/c (No. 14)
Symmetry-distinct sites (fractional):
La  0.1009  0.1680  0.3943 x4
La  0.3668  0.6975  0.9515 x4
Pr  0.0000  0.0000  0.0000 x2
In  0.3855  0.0232  0.7948 x4

Principal peaks in the range 2θ = 10–90°, in order of rising 2θ:
23.92°, I 35, hkl 0 0 2
29.33°, I 43, hkl 2 1 -1
29.75°, I 63, hkl 1 2 -2
30.13°, I 100, hkl 0 3 1
31.14°, I 46, hkl 2 1 0
32.34°, I 30, hkl 2 1 -2
32.45°, I 31, hkl 1 0 2
33.77°, I 32, hkl 1 1 2
35.16°, I 59, hkl 1 1 -3
59.01°, I 38, hkl 1 5 -3